(1)
Simulated powder diffractogram
Compound: GaAgAs3
Radiation: Cu Kα (weighted mean of Kα1 and Kα2)
Structure: a PBE-relaxed structure

Cell and atoms:
```
5
Lattice="4.9225 0.0000 0.0000 0.0000 4.9225 0.0000 0.0000 0.0000 4.9225" Properties=species:S:1:pos:R:3 pbc="T T T"
Ga 0.0000 0.0000 0.0000
Ag 2.4613 2.4613 2.4613
As 0.0000 0.0000 2.4613
As 0.0000 2.4613 0.0000
As 2.4613 0.0000 0.0000
```

The 6 most intense peaks (15 to 90 degrees two-theta), by angle:
2theta, intensity
25.59, 34
31.48, 84
36.51, 100
52.59, 68
62.59, 33
88.92, 31

---

(2)
Simulated powder diffractogram
Compound: CdHgTe2
Radiation: Cu Kα (weighted mean of Kα1 and Kα2)
Structure: a PBE-relaxed structure

Cell and atoms:
```
16
Lattice="6.4401 0.0000 0.0000 0.0000 6.5315 0.0000 -6.0791 0.0000 13.5392" Properties=species:S:1:pos:R:3 pbc="T T T"
Cd 0.0878 1.5925 3.3577
Cd -2.9517 1.6733 10.1273
Cd 3.3127 4.8582 3.4120
Cd 0.2732 4.9391 10.1816
Hg 0.0611 4.8742 5.4817
Hg -2.9785 4.9231 12.2513
Hg 3.3395 1.6084 1.2879
Hg 0.2999 1.6573 8.0576
Te -4.8121 0.3320 11.9006
Te -1.7726 2.9338 5.1310
Te 1.4607 3.5099 1.6307
Te -1.5789 6.2874 8.4003
Te 1.9399 0.2441 5.1389
Te -1.0996 3.0217 11.9085
Te 2.1336 3.5978 8.4082
Te 5.1731 6.1995 1.6386
```

The 6 most intense peaks (15 to 90 degrees two-theta), by angle:
2theta, intensity
23.22, 74
23.64, 78
26.33, 41
27.47, 100
28.00, 92
39.30, 91

---

(3)
Simulated powder diffractogram
Compound: Mn3Os
Radiation: Cu Kα (weighted mean of Kα1 and Kα2)
Structure: a PBE-relaxed structure

Cell and atoms:
```
4
Lattice="3.6222 0.0000 0.0000 0.0000 3.6222 0.0000 0.0000 0.0000 3.6222" Properties=species:S:1:pos:R:3 pbc="T T T"
Mn 0.0000 0.0000 1.8111
Mn 0.0000 1.8111 0.0000
Mn 1.8111 0.0000 0.0000
Os 1.8111 1.8111 1.8111
```

The 6 most intense peaks (15 to 90 degrees two-theta), by angle:
2theta, intensity
24.58, 44
35.03, 37
43.26, 100
50.39, 47
74.02, 29
89.80, 36

---

(4)
Simulated powder diffractogram
Compound: Pm2Er5Tm4
Radiation: Cu Kα (weighted mean of Kα1 and Kα2)
Structure: a PBE-relaxed structure

Cell and atoms:
```
11
Lattice="3.5253 0.0000 0.0000 0.0063 8.6320 0.0000 1.7570 2.8831 11.1869" Properties=species:S:1:pos:R:3 pbc="T T T"
Pm 0.8793 2.8787 3.5575
Pm 4.4093 8.6364 7.6295
Er 0.8816 5.7575 5.5935
Er 2.6428 8.6496 10.6925
Er 2.6420 5.7449 8.6524
Er 2.6466 5.7702 2.5345
Er 2.6458 2.8655 0.4944
Tm 0.8862 8.6247 1.5179
Tm 2.6416 2.9032 6.6360
Tm 2.6470 8.6118 4.5509
Tm 4.4024 2.8904 9.6690
```

The 6 most intense peaks (15 to 90 degrees two-theta), by angle:
2theta, intensity
31.08, 100
36.04, 51
51.89, 36
61.73, 43
84.82, 10
87.53, 14